Computed XRD peak list
Compound: Ho5Ge3C
Radiation: a wavelength of 1.5418 Å
Structure: a cell relaxed with PBE
No peak broadening, texture or thermal motion is included.

The 6 most intense peaks (2θ from 10° to 90°), sorted by position:
two_theta, d_spacing, Rel. int.
30.3, 2.947, 36
32.2, 2.778, 43
35.0, 2.564, 67
35.2, 2.550, 100
51.6, 1.771, 21
54.0, 1.698, 29

Atomic structure:
Cell lengths 8.4856, 8.4856, 6.4343 Å; angles 90.00, 90.00, 120.00 degrees
Atoms (fractional coordinates):
Ho (0.0000, 0.2213, 0.2500)
Ho (0.0000, 0.7787, 0.7500)
Ho (0.2213, 0.0000, 0.2500)
Ho (0.2213, 0.2213, 0.7500)
Ho (0.3333, 0.6667, 0.0000)
Ho (0.3333, 0.6667, 0.5000)
Ho (0.6667, 0.3333, 0.0000)
Ho (0.6667, 0.3333, 0.5000)
Ho (0.7787, 0.0000, 0.7500)
Ho (0.7787, 0.7787, 0.2500)
Ge (0.0000, 0.4065, 0.7500)
Ge (0.0000, 0.5935, 0.2500)
Ge (0.4065, 0.0000, 0.7500)
Ge (0.4065, 0.4065, 0.2500)
Ge (0.5935, 0.0000, 0.2500)
Ge (0.5935, 0.5935, 0.7500)
C (0.0000, 0.0000, 0.0000)
C (0.0000, 0.0000, 0.5000)